Calculated powder XRD pattern
Compound: CrOsPb2O6
Radiation: a wavelength of 1.5418 Å
Structure: the PBE+U geometry in Alexandria
No peak broadening, texture or thermal motion is included.

Atomic structure:
abc: 5.652 5.652 5.652
angles: 60.00 60.00 60.00
Atoms (fractional coordinates):
Cr 0.000 0.000 0.000
Os 0.500 0.500 0.500
Pb 0.250 0.250 0.250
Pb 0.750 0.750 0.750
O 0.253 0.253 0.747
O 0.253 0.747 0.253
O 0.253 0.747 0.747
O 0.747 0.253 0.253
O 0.747 0.253 0.747
O 0.747 0.747 0.253

Largest 8 diffraction maxima, sorted by position, 10° ≤ 2θ ≤ 80°:
2θ/deg, I/Imax
19.23, 10
31.66, 100
37.31, 6
39.04, 7
45.39, 27
56.39, 41
66.13, 17
75.18, 18